[1]
Simulated PXRD pattern of CuNiPd14 for CuKα, from a PBE-relaxed structure.
Kinematic intensities with the Lorentz-polarization factor, no thermal factor.

The 12 most intense peaks (2θ = 5–70°), sorted by position:
- 2θ 37.5, d 2.400, rel. 10
- 2θ 37.7, d 2.389, rel. 6
- 2θ 38.8, d 2.321, rel. 36
- 2θ 39.0, d 2.310, rel. 20
- 2θ 39.7, d 2.272, rel. 51
- 2θ 42.6, d 2.122, rel. 100
- 2θ 42.8, d 2.114, rel. 46
- 2θ 48.4, d 1.881, rel. 19
- 2θ 48.5, d 1.876, rel. 10
- 2θ 64.3, d 1.449, rel. 9
- 2θ 67.5, d 1.388, rel. 10
- 2θ 67.8, d 1.381, rel. 20

Structural model:
Lattice parameters (Å, degrees): 9.0873 5.5255 5.5255 60.32 90.00 90.00
Atoms (fractional coordinates):
Cu  0.0000  0.0000  0.0000
Ni  0.0000  0.4999  0.4999
Pd  0.0000  0.0026  0.5027
Pd  0.0000  0.5027  0.0026
Pd  0.2406  0.3308  0.8296
Pd  0.2406  0.8296  0.3308
Pd  0.2468  0.3329  0.3329
Pd  0.2474  0.8329  0.8329
Pd  0.5000  0.1636  0.1636
Pd  0.5000  0.1645  0.6647
Pd  0.5000  0.6636  0.6636
Pd  0.5000  0.6647  0.1645
Pd  0.7532  0.3329  0.3329
Pd  0.7526  0.8329  0.8329
Pd  0.7594  0.3308  0.8296
Pd  0.7594  0.8296  0.3308



[2]
Simulated PXRD pattern of Cu6Ni2Pd3 for CuKα, from a PBE-relaxed structure.
Kinematic intensities with the Lorentz-polarization factor, no thermal factor.

The 12 most intense peaks (2θ = 5–70°), sorted by position:
- 2θ 30.9, d 2.898, rel. 10
- 2θ 40.6, d 2.223, rel. 34
- 2θ 42.0, d 2.152, rel. 100
- 2θ 42.1, d 2.144, rel. 13
- 2θ 44.4, d 2.039, rel. 31
- 2θ 45.0, d 2.014, rel. 46
- 2θ 45.9, d 1.976, rel. 9
- 2θ 46.2, d 1.965, rel. 33
- 2θ 46.3, d 1.961, rel. 13
- 2θ 47.1, d 1.931, rel. 28
- 2θ 48.5, d 1.878, rel. 12
- 2θ 59.7, d 1.550, rel. 13

Structural model:
Lattice parameters (Å, degrees): 5.0204 5.0204 12.2290 97.15 97.15 72.98
Atoms (fractional coordinates):
Cu  0.0979  0.2715  0.9362
Cu  0.0982  0.7771  0.8944
Cu  0.2229  0.9018  0.6056
Cu  0.2715  0.0979  0.4362
Cu  0.3980  0.4505  0.0778
Cu  0.4505  0.3980  0.5778
Cu  0.5495  0.6020  0.4222
Cu  0.6020  0.5495  0.9222
Cu  0.7285  0.9021  0.5638
Cu  0.7771  0.0982  0.3944
Cu  0.9018  0.2229  0.1056
Cu  0.9021  0.7285  0.0638
Ni  0.0594  0.6126  0.4259
Ni  0.3874  0.9406  0.0741
Ni  0.6126  0.0594  0.9259
Ni  0.9406  0.3874  0.5741
Pd  0.1533  0.8467  0.2500
Pd  0.2876  0.3468  0.7584
Pd  0.3468  0.2876  0.2584
Pd  0.6532  0.7124  0.7416
Pd  0.7124  0.6532  0.2416
Pd  0.8467  0.1533  0.7500